[1]
Calculated powder XRD pattern of Rb6TlCl8 for CuKα, from DFT lattice parameters and positions (GGA-PBE).
Lines closer than 0.1° are merged.

Principal peaks in the range 10° ≤ 2θ ≤ 80°, most intense first:
Position (°2θ)	d/Å	I/Imax
31.61	2.830	100
16.55	5.356	90
32.46	2.759	77
31.30	2.857	73
22.50	3.951	50
41.38	2.182	40
10.69	8.276	33
21.48	4.138	25
45.94	1.975	23
48.56	1.875	19

Crystal structure
```
15
Lattice="9.5557 0.0000 0.0000 -4.7779 8.2755 0.0000 0.0000 0.0000 7.0262" Properties=species:S:1:pos:R:3 pbc="T T T"
Rb -1.8045 3.1254 1.5340
Rb -2.9734 5.1501 5.4922
Rb 3.6090 0.0000 1.5340
Rb 1.8045 3.1254 5.4922
Rb 5.9468 0.0000 5.4922
Rb 2.9734 5.1501 1.5340
Tl 0.0000 0.0000 3.5131
Cl -1.2780 2.2136 4.9485
Cl -3.4998 6.0619 2.0777
Cl 2.5561 0.0000 4.9485
Cl 1.2780 2.2136 2.0777
Cl 0.0000 5.5170 0.0000
Cl 4.7779 2.7585 0.0000
Cl 6.9997 0.0000 2.0777
Cl 3.4998 6.0619 4.9485
```


[2]
Calculated powder XRD pattern of Tb4Sm for CuKα, from DFT lattice parameters and positions (GGA-PBE).
Lines closer than 0.1° are merged.

Principal peaks in the range 10° ≤ 2θ ≤ 80°, most intense first:
Position (°2θ)	d/Å	I/Imax
30.67	2.915	100
35.56	2.525	51
60.81	1.523	25
51.14	1.786	24
60.91	1.521	18
51.24	1.783	12
63.83	1.458	9
75.24	1.263	4
63.98	1.455	3
75.37	1.261	2

Crystal structure
```
5
Lattice="3.0939 -1.7869 0.0000 3.0939 1.7869 0.0000 -2.0367 0.0000 14.5521" Properties=species:S:1:pos:R:3 pbc="T T T"
Tb 0.0092 0.0000 4.3385
Tb 0.0232 0.0000 13.1044
Tb 4.1279 0.0000 1.4477
Tb 4.1419 0.0000 10.2136
Sm 2.0755 0.0000 7.2761
```


[3]
Calculated powder XRD pattern of NdHoTmTl for CuKα, from DFT lattice parameters and positions (GGA-PBE).
Lines closer than 0.1° are merged.

Principal peaks in the range 10° ≤ 2θ ≤ 80°, most intense first:
Position (°2θ)	d/Å	I/Imax
31.79	2.815	100
36.53	2.460	17
36.78	2.444	17
37.29	2.411	16
62.79	1.480	14
63.13	1.473	14
63.82	1.458	14
66.42	1.408	12
52.81	1.734	12
53.19	1.722	12

Crystal structure
```
4
Lattice="4.8224 0.0000 0.0000 0.0000 4.8872 0.0000 0.0000 0.0000 4.9200" Properties=species:S:1:pos:R:3 pbc="T T T"
Nd 0.0000 0.0000 0.0000
Ho 2.4112 2.4436 0.0000
Tm 2.4112 0.0000 2.4600
Tl 0.0000 2.4436 2.4600
```